Entry 1:
This entry pairs a crystal structure of Li2Hg2IO6 with its theoretical powder X-ray diffraction pattern. Radiation: CuKα. Structure: a crystal structure in Alexandria, relaxed with PBE.
Kinematic intensities with the Lorentz-polarization factor, no thermal factor.

Main lines, low angle first (10° ≤ 2θ ≤ 80°):
two_theta, intensity
14.52, 352
18.72, 1000
23.93, 691
29.28, 362
32.60, 285
32.95, 224
35.72, 373
36.63, 633
42.83, 224
59.62, 205

Atomic structure:
```
data_Li2Hg2IO6
_symmetry_space_group_name_H-M 'P 1'
_symmetry_Int_Tables_number 1
_cell_length_a 5.4399
_cell_length_b 5.4399
_cell_length_c 6.1128
_cell_angle_alpha 91.91
_cell_angle_beta 91.91
_cell_angle_gamma 119.20
loop_
_symmetry_equiv_pos_as_xyz
'x,y,z'
loop_
_atom_site_label
_atom_site_type_symbol
_atom_site_fract_x
_atom_site_fract_y
_atom_site_fract_z
Li1 Li 0.1584 0.8416 0.0000
Li2 Li 0.8416 0.1584 0.0000
Hg1 Hg 0.3265 0.6735 0.5000
Hg2 Hg 0.6735 0.3265 0.5000
I1 I 0.5000 0.5000 0.0000
O1 O 0.1939 0.4999 0.8162
O2 O 0.2221 0.2221 0.1657
O3 O 0.4999 0.1939 0.8162
O4 O 0.5001 0.8061 0.1839
O5 O 0.7779 0.7779 0.8343
O6 O 0.8061 0.5001 0.1839
```

Entry 2:
This entry pairs a crystal structure of LiHgTeI2 with its theoretical powder X-ray diffraction pattern. Radiation: CuKα. Structure: a crystal structure in Alexandria, relaxed with PBE.
Kinematic intensities with the Lorentz-polarization factor, no thermal factor.

Main lines, low angle first (10° ≤ 2θ ≤ 80°):
two_theta, intensity
14.59, 1000
15.74, 434
29.43, 642
31.79, 263
33.00, 288
33.55, 281
35.14, 244
42.11, 243
43.87, 432
53.71, 238

Atomic structure:
```
data_LiHgTeI2
_symmetry_space_group_name_H-M 'P 1'
_symmetry_Int_Tables_number 1
_cell_length_a 6.0697
_cell_length_b 6.0697
_cell_length_c 5.6299
_cell_angle_alpha 90.00
_cell_angle_beta 90.00
_cell_angle_gamma 90.00
loop_
_symmetry_equiv_pos_as_xyz
'x,y,z'
loop_
_atom_site_label
_atom_site_type_symbol
_atom_site_fract_x
_atom_site_fract_y
_atom_site_fract_z
Li1 Li 0.0000 0.0000 0.0000
Hg1 Hg 0.5000 0.5000 0.5000
Te1 Te 0.5000 0.5000 0.0000
I1 I 0.0000 0.5000 0.5000
I2 I 0.5000 0.0000 0.5000
```

Entry 3:
This entry pairs a crystal structure of Li3Tl3HgI8 with its theoretical powder X-ray diffraction pattern. Radiation: CuKα. Structure: a crystal structure in Alexandria, relaxed with PBE.
Kinematic intensities with the Lorentz-polarization factor, no thermal factor.

Main lines, low angle first (10° ≤ 2θ ≤ 80°):
two_theta, intensity
12.04, 303
22.79, 158
23.35, 109
27.40, 1000
29.58, 187
37.71, 337
40.51, 379
49.60, 196
53.34, 131
65.90, 167

Atomic structure:
```
data_Li3Tl3HgI8
_symmetry_space_group_name_H-M 'P 1'
_symmetry_Int_Tables_number 1
_cell_length_a 8.9088
_cell_length_b 8.9088
_cell_length_c 9.5893
_cell_angle_alpha 117.66
_cell_angle_beta 117.66
_cell_angle_gamma 59.95
loop_
_symmetry_equiv_pos_as_xyz
'x,y,z'
loop_
_atom_site_label
_atom_site_type_symbol
_atom_site_fract_x
_atom_site_fract_y
_atom_site_fract_z
Li1 Li 0.0000 0.0000 0.0000
Li2 Li 0.0000 0.5000 0.0000
Li3 Li 0.5000 0.0000 0.0000
Tl1 Tl 0.0000 0.5000 0.5000
Tl2 Tl 0.5000 0.0000 0.5000
Tl3 Tl 0.5000 0.5000 0.5000
Hg1 Hg 0.5000 0.5000 0.0000
I1 I 0.2310 0.7376 0.2055
I2 I 0.2353 0.2353 0.2050
I3 I 0.2624 0.7690 0.7945
I4 I 0.2627 0.2627 0.7947
I5 I 0.7373 0.7373 0.2053
I6 I 0.7376 0.2310 0.2055
I7 I 0.7647 0.7647 0.7950
I8 I 0.7690 0.2624 0.7945
```